(1)
# Ta2BiO6F
Simulated powder X-ray diffraction pattern, Cu Kα, 1.54184 Å. Input: a crystal structure in the Materials Project, relaxed with PBE.

Main lines, in order of falling intensity (2θ = 10–90°):
2θ (°), I (rel.)
29.07, 100
29.63, 97
14.42, 63
48.91, 59
33.97, 47
57.49, 31
58.45, 29
16.87, 27
28.26, 27
34.12, 24

Crystal structure
```
data_Ta2BiO6F
_cell_length_a 7.3634
_cell_length_b 7.5702
_cell_length_c 10.5110
_cell_angle_alpha 90.00
_cell_angle_beta 90.00
_cell_angle_gamma 90.00
_space_group_name_H-M_alt 'I m m a'
_space_group_IT_number 74
_space_group_name_Hall '-I 2b 2'
loop_
_atom_site_label
_atom_site_fract_x
_atom_site_fract_y
_atom_site_fract_z
Ta1 0.0000 0.0000 0.0000
Ta2 0.2500 0.2500 0.2500
Bi1 0.0000 0.0000 0.5000
O1 0.0000 0.2500 0.3244
O2 0.0000 0.2500 0.9473
O3 0.2026 0.0640 0.1206
F1 0.0000 0.2500 0.6166
```

***

(2)
# BiPb2F7
Simulated powder X-ray diffraction pattern, Cu Kα, 1.54184 Å. Input: a crystal structure in the Materials Project, relaxed with PBE.

Main lines, in order of falling intensity (2θ = 10–90°):
2θ (°), I (rel.)
26.25, 100
42.96, 44
52.53, 32
31.16, 24
68.88, 20
44.64, 20
49.54, 19
81.12, 18
28.83, 15
54.02, 11

Crystal structure
```
data_BiPb2F7
_cell_length_a 4.0596
_cell_length_b 4.0596
_cell_length_c 18.5800
_cell_angle_alpha 90.00
_cell_angle_beta 90.00
_cell_angle_gamma 90.00
_space_group_name_H-M_alt 'I 4/m m m'
_space_group_IT_number 139
_space_group_name_Hall '-I 4 2'
loop_
_atom_site_label
_atom_site_fract_x
_atom_site_fract_y
_atom_site_fract_z
Bi1 0.0000 0.0000 0.0000
Pb1 0.0000 0.0000 0.3342
F1 0.0000 0.0000 0.5000
F2 0.0000 0.5000 0.0841
F3 0.0000 0.5000 0.2500
```

***

(3)
# Rb3BiF6
Simulated powder X-ray diffraction pattern, Cu Kα, 1.54184 Å. Input: a crystal structure in the Materials Project, relaxed with PBE.

Main lines, in order of falling intensity (2θ = 10–90°):
2θ (°), I (rel.)
13.00, 100
13.15, 98
13.75, 88
31.74, 29
26.17, 29
26.47, 28
27.70, 27
29.32, 23
32.66, 22
31.60, 20

Crystal structure
```
data_Rb3BiF6
_cell_length_a 7.2650
_cell_length_b 7.2846
_cell_length_c 7.5304
_cell_angle_alpha 100.33
_cell_angle_beta 111.11
_cell_angle_gamma 102.79
_space_group_name_H-M_alt 'P -1'
_space_group_IT_number 2
loop_
_space_group_symop_operation_xyz
'x,y,z'
'-x,-y,-z'
loop_
_atom_site_label
_atom_site_fract_x
_atom_site_fract_y
_atom_site_fract_z
Rb1 0.0000 0.0000 0.0000
Rb2 0.0000 0.5000 0.5000
Rb3 0.5000 0.0000 0.5000
Bi1 0.0000 0.0000 0.5000
F1 0.0193 0.7705 0.2627
F2 0.2104 0.2176 0.4153
F3 0.2603 0.9145 0.7093
```

***

(4)
# RbBiF3
Simulated powder X-ray diffraction pattern, Cu Kα, 1.54184 Å. Input: a crystal structure in the Materials Project, relaxed with PBE.

Main lines, in order of falling intensity (2θ = 10–90°):
2θ (°), I (rel.)
26.53, 100
28.66, 71
25.51, 63
23.41, 63
10.28, 60
28.18, 47
17.79, 43
41.76, 39
35.24, 38
20.05, 35

Crystal structure
```
data_RbBiF3
_cell_length_a 5.0269
_cell_length_b 5.1617
_cell_length_c 8.6725
_cell_angle_alpha 96.27
_cell_angle_beta 92.61
_cell_angle_gamma 96.62
_space_group_name_H-M_alt 'P 1'
_space_group_IT_number 1
loop_
_space_group_symop_operation_xyz
'x,y,z'
loop_
_atom_site_label
_atom_site_fract_x
_atom_site_fract_y
_atom_site_fract_z
Rb1 0.0000 0.0000 0.0000
Rb2 0.4824 0.4782 0.7529
Bi1 0.5882 0.4961 0.2506
Bi2 0.8845 0.9768 0.5001
F1 0.0250 0.6424 0.6221
F2 0.4479 0.8202 0.1220
F3 0.5077 0.1795 0.4598
F4 0.6695 0.9850 0.7199
F5 0.8184 0.4940 0.0383
F6 0.9552 0.2779 0.2933
```

***

(5)
# Rb3BiF6
Simulated powder X-ray diffraction pattern, Cu Kα, 1.54184 Å. Input: a crystal structure in the Materials Project, relaxed with PBE.

Main lines, in order of falling intensity (2θ = 10–90°):
2θ (°), I (rel.)
12.99, 100
13.06, 49
26.27, 29
26.05, 15
30.94, 14
40.99, 12
31.30, 10
15.54, 10
40.73, 10
31.44, 10

Crystal structure
```
data_Rb3BiF6
_cell_length_a 7.3129
_cell_length_b 7.3143
_cell_length_c 7.3166
_cell_angle_alpha 102.80
_cell_angle_beta 104.51
_cell_angle_gamma 102.19
_space_group_name_H-M_alt 'P -1'
_space_group_IT_number 2
loop_
_space_group_symop_operation_xyz
'x,y,z'
'-x,-y,-z'
loop_
_atom_site_label
_atom_site_fract_x
_atom_site_fract_y
_atom_site_fract_z
Rb1 0.0000 0.0000 0.0000
Rb2 0.0000 0.5000 0.5000
Rb3 0.5000 0.0000 0.5000
Bi1 0.0000 0.0000 0.5000
F1 0.0649 0.7720 0.2768
F2 0.2249 0.2172 0.4280
F3 0.2259 0.9286 0.7300
```

***

(6)
# RbBiF3
Simulated powder X-ray diffraction pattern, Cu Kα, 1.54184 Å. Input: a crystal structure in the Materials Project, relaxed with PBE.

Main lines, in order of falling intensity (2θ = 10–90°):
2θ (°), I (rel.)
25.05, 100
40.99, 32
49.90, 31
29.65, 21
42.43, 18
29.51, 15
47.35, 14
27.65, 13
46.32, 12
65.44, 11

Crystal structure
```
data_RbBiF3
_cell_length_a 4.2607
_cell_length_b 4.2607
_cell_length_c 12.9041
_cell_angle_alpha 90.00
_cell_angle_beta 90.00
_cell_angle_gamma 90.00
_space_group_name_H-M_alt 'P 4/n m m'
_space_group_IT_number 129
loop_
_space_group_symop_operation_xyz
'x,y,z'
'-x,-y,-z'
'-y+1/2,x,z'
'y+1/2,-x,-z'
'-x+1/2,-y+1/2,z'
'x+1/2,y+1/2,-z'
'y,-x+1/2,z'
'-y,x+1/2,-z'
'x+1/2,-y,-z'
'-x+1/2,y,z'
'-y,-x,-z'
'y,x,z'
'-x,y+1/2,-z'
'x,-y+1/2,z'
'y+1/2,x+1/2,-z'
'-y+1/2,-x+1/2,z'
loop_
_atom_site_label
_atom_site_fract_x
_atom_site_fract_y
_atom_site_fract_z
Rb1 0.2500 0.2500 0.1506
Bi1 0.2500 0.2500 0.6187
F1 0.2500 0.7500 0.2924
F2 0.2500 0.7500 0.5000
```